# 1
Starting from a GGA-PBE-relaxed structure, the powder XRD pattern of Mn5Ge3 was simulated for CuKα.
Peak positions follow from Bragg's law for the DFT cell and can differ from measured ones.

Crystal structure
abc: 7.1336 7.1336 4.9826
angles: 90.00 90.00 120.00
Atoms (fractional coordinates):
Mn 0.0000 0.2424 0.2500
Mn 0.0000 0.7576 0.7500
Mn 0.2424 0.0000 0.2500
Mn 0.2424 0.2424 0.7500
Mn 0.3333 0.6667 0.0000
Mn 0.3333 0.6667 0.5000
Mn 0.6667 0.3333 0.0000
Mn 0.6667 0.3333 0.5000
Mn 0.7576 0.0000 0.7500
Mn 0.7576 0.7576 0.2500
Ge 0.0000 0.3952 0.7500
Ge 0.0000 0.6048 0.2500
Ge 0.3952 0.0000 0.7500
Ge 0.3952 0.3952 0.2500
Ge 0.6048 0.0000 0.2500
Ge 0.6048 0.6048 0.7500

Largest 12 diffraction maxima, by angle, 2θ = 5–70°:
| Position (°2θ) | I (rel.) |
| --- | --- |
| 14.34 | 12.9 |
| 30.83 | 9.2 |
| 36.05 | 24.1 |
| 38.56 | 24.5 |
| 42.77 | 100.0 |
| 43.97 | 41.7 |
| 44.35 | 68.1 |
| 46.85 | 11.1 |
| 54.66 | 9.0 |
| 56.82 | 19.0 |
| 64.23 | 11.4 |
| 69.45 | 21.6 |

---

# 2
Starting from a GGA-PBE-relaxed structure, the powder XRD pattern of RbMg14BiO16 was simulated for CuKα.
Peak positions follow from Bragg's law for the DFT cell and can differ from measured ones.

Crystal structure
abc: 8.8184 8.8184 4.5494
angles: 90.00 90.00 90.00
Atoms (fractional coordinates):
Rb 0.0000 0.0000 0.0000
Mg 0.0000 0.2515 0.5000
Mg 0.0000 0.5000 0.0000
Mg 0.0000 0.7485 0.5000
Mg 0.2346 0.5000 0.5000
Mg 0.2433 0.2433 0.0000
Mg 0.2433 0.7567 0.0000
Mg 0.2515 0.0000 0.5000
Mg 0.5000 0.0000 0.0000
Mg 0.5000 0.2346 0.5000
Mg 0.5000 0.7654 0.5000
Mg 0.7485 0.0000 0.5000
Mg 0.7567 0.2433 0.0000
Mg 0.7567 0.7567 0.0000
Mg 0.7654 0.5000 0.5000
Bi 0.5000 0.5000 0.0000
O 0.0000 0.0000 0.5000
O 0.0000 0.2793 0.0000
O 0.0000 0.5000 0.5000
O 0.0000 0.7207 0.0000
O 0.2379 0.5000 0.0000
O 0.2529 0.2529 0.5000
O 0.2529 0.7471 0.5000
O 0.2793 0.0000 0.0000
O 0.5000 0.0000 0.5000
O 0.5000 0.2379 0.0000
O 0.5000 0.5000 0.5000
O 0.5000 0.7621 0.0000
O 0.7207 0.0000 0.0000
O 0.7471 0.2529 0.5000
O 0.7471 0.7471 0.5000
O 0.7621 0.5000 0.0000

Largest 12 diffraction maxima, by angle, 2θ = 5–70°:
| Position (°2θ) | I (rel.) |
| --- | --- |
| 10.03 | 41.6 |
| 14.20 | 68.9 |
| 20.14 | 44.0 |
| 24.22 | 51.9 |
| 28.18 | 38.9 |
| 32.10 | 34.1 |
| 34.89 | 57.5 |
| 37.84 | 37.1 |
| 39.62 | 55.2 |
| 40.94 | 100.0 |
| 58.28 | 61.8 |
| 59.28 | 30.8 |

---

# 3
Starting from a GGA-PBE-relaxed structure, the powder XRD pattern of NaCaO3 was simulated for CuKα.
Peak positions follow from Bragg's law for the DFT cell and can differ from measured ones.

Crystal structure
abc: 4.5066 4.5066 4.5066
angles: 90.00 90.00 90.00
Atoms (fractional coordinates):
Na 0.0000 0.0000 0.0000
Ca 0.5000 0.5000 0.5000
O 0.0000 0.5000 0.5000
O 0.5000 0.0000 0.5000
O 0.5000 0.5000 0.0000

Largest 10 diffraction maxima, by angle, 2θ = 5–70°:
| Position (°2θ) | I (rel.) |
| --- | --- |
| 19.70 | 66.4 |
| 28.00 | 100.0 |
| 34.47 | 16.3 |
| 40.01 | 98.3 |
| 44.98 | 22.4 |
| 49.55 | 39.9 |
| 57.87 | 54.3 |
| 61.75 | 9.0 |
| 65.50 | 16.6 |
| 69.13 | 2.5 |

---

# 4
Starting from a GGA-PBE-relaxed structure, the powder XRD pattern of Mg6MnV was simulated for CuKα.
Peak positions follow from Bragg's law for the DFT cell and can differ from measured ones.

Crystal structure
abc: 4.9423 6.1512 6.1512
angles: 60.60 90.00 90.00
Atoms (fractional coordinates):
Mg 0.0000 0.0000 0.0000
Mg 0.0000 0.0147 0.4936
Mg 0.0000 0.4936 0.0147
Mg 0.5000 0.3391 0.8178
Mg 0.5000 0.8178 0.3391
Mg 0.5000 0.8311 0.8311
Mn 0.0000 0.4982 0.4982
V 0.5000 0.3308 0.3308

Largest 12 diffraction maxima, by angle, 2θ = 5–70°:
| Position (°2θ) | I (rel.) |
| --- | --- |
| 16.54 | 22.2 |
| 33.44 | 21.5 |
| 33.75 | 13.8 |
| 36.36 | 37.6 |
| 38.21 | 100.0 |
| 38.49 | 44.7 |
| 50.22 | 12.8 |
| 50.45 | 8.3 |
| 59.57 | 7.9 |
| 60.18 | 15.5 |
| 66.64 | 17.4 |
| 66.83 | 7.9 |

---

# 5
Starting from a GGA-PBE-relaxed structure, the powder XRD pattern of Er4Ga12Ni was simulated for CuKα.
Peak positions follow from Bragg's law for the DFT cell and can differ from measured ones.

Crystal structure
abc: 7.4207 7.4207 7.4207
angles: 109.47 109.47 109.47
Atoms (fractional coordinates):
Er 0.0000 0.0000 0.5000
Er 0.0000 0.5000 0.0000
Er 0.5000 0.0000 0.0000
Er 0.5000 0.5000 0.5000
Ga 0.0000 0.2880 0.2880
Ga 0.0000 0.7120 0.7120
Ga 0.2500 0.5000 0.7500
Ga 0.2500 0.7500 0.5000
Ga 0.2880 0.0000 0.2880
Ga 0.2880 0.2880 0.0000
Ga 0.5000 0.2500 0.7500
Ga 0.5000 0.7500 0.2500
Ga 0.7120 0.0000 0.7120
Ga 0.7120 0.7120 0.0000
Ga 0.7500 0.2500 0.5000
Ga 0.7500 0.5000 0.2500
Ni 0.0000 0.0000 0.0000

Largest 12 diffraction maxima, by angle, 2θ = 5–70°:
| Position (°2θ) | I (rel.) |
| --- | --- |
| 20.73 | 12.0 |
| 29.48 | 27.5 |
| 33.06 | 3.1 |
| 36.32 | 100.0 |
| 39.34 | 4.8 |
| 42.19 | 57.7 |
| 47.45 | 8.6 |
| 49.92 | 4.4 |
| 52.30 | 8.6 |
| 61.19 | 34.7 |
| 65.34 | 4.9 |
| 69.36 | 7.4 |

---

# 6
Starting from a GGA-PBE-relaxed structure, the powder XRD pattern of CaNb2Ga2Cu3O12 was simulated for CuKα.
Peak positions follow from Bragg's law for the DFT cell and can differ from measured ones.

Crystal structure
abc: 6.5461 6.5461 7.5637
angles: 125.02 125.02 70.70
Atoms (fractional coordinates):
Ca 0.0000 0.0000 0.0000
Nb 0.0000 0.5000 0.5000
Nb 0.5000 0.0000 0.5000
Ga 0.0000 0.5000 0.0000
Ga 0.5000 0.0000 0.0000
Cu 0.0000 0.0000 0.5000
Cu 0.5000 0.5000 0.0000
Cu 0.5000 0.5000 0.5000
O 0.1306 0.4789 0.3056
O 0.1731 0.1731 0.8686
O 0.1738 0.1738 0.4777
O 0.3024 0.6926 0.8238
O 0.3074 0.6976 0.1762
O 0.4789 0.1306 0.3056
O 0.5211 0.8694 0.6944
O 0.6926 0.3024 0.8238
O 0.6976 0.3074 0.1762
O 0.8262 0.8262 0.5223
O 0.8269 0.8269 0.1314
O 0.8694 0.5211 0.6944

Largest 12 diffraction maxima, by angle, 2θ = 5–70°:
| Position (°2θ) | I (rel.) |
| --- | --- |
| 16.51 | 5.9 |
| 23.49 | 11.4 |
| 28.91 | 4.8 |
| 33.40 | 100.0 |
| 33.51 | 99.2 |
| 37.56 | 3.9 |
| 48.00 | 34.2 |
| 48.12 | 17.0 |
| 59.60 | 16.4 |
| 59.72 | 32.2 |
| 59.89 | 31.9 |
| 60.01 | 16.0 |

---

# 7
Starting from a GGA-PBE-relaxed structure, the powder XRD pattern of SmPb3 was simulated for CuKα.
Peak positions follow from Bragg's law for the DFT cell and can differ from measured ones.

Crystal structure
abc: 4.9944 4.9944 4.9944
angles: 90.00 90.00 90.00
Atoms (fractional coordinates):
Sm 0.0000 0.0000 0.0000
Pb 0.0000 0.5000 0.5000
Pb 0.5000 0.0000 0.5000
Pb 0.5000 0.5000 0.0000

Largest 9 diffraction maxima, by angle, 2θ = 5–70°:
| Position (°2θ) | I (rel.) |
| --- | --- |
| 17.76 | 1.3 |
| 25.22 | 1.2 |
| 31.01 | 100.0 |
| 35.96 | 51.0 |
| 40.38 | 0.8 |
| 44.43 | 0.6 |
| 51.77 | 36.7 |
| 61.59 | 44.0 |
| 64.65 | 12.7 |

---

- Which formula does entry 6 have?
  CaNb2Ga2Cu3O12